This entry pairs a crystal structure of Li5Fe7O3F13 with its theoretical powder diffraction line list. Radiation: Cu Kα (weighted mean of Kα1 and Kα2). Structure: a cell relaxed with PBE+U.
Neutral-atom scattering factors, no anomalous dispersion.

Top 8 peaks for 2θ from 10° to 90°, by angle:
| Position (°2θ) | I_rel | h k l |
| --- | --- | --- |
| 16.78 | 24 | 0 1 0 |
| 17.53 | 90 | 1 0 0 |
| 33.94 | 100 | 1 2 2 |
| 41.20 | 60 | 2 2 -2 |
| 41.28 | 28 | 2 0 4 |
| 54.39 | 25 | 3 2 -2 |
| 59.68 | 36 | 2 -2 2 |
| 59.75 | 36 | 2 2 6 |

Crystal structure
a = 6.192 Å, b = 6.194 Å, c = 10.719 Å
α = 89.99°, β = 73.32°, γ = 60.04°
Positions (direct):
Li (0.000, 0.000, 0.000)
Li (0.012, 0.487, 0.500)
Li (0.137, 0.448, 0.808)
Li (0.271, 0.343, 0.130)
Li (0.645, 0.428, 0.306)
Fe (0.147, 0.936, 0.303)
Fe (0.224, 0.853, 0.641)
Fe (0.623, 0.204, 0.566)
Fe (0.623, 0.431, 0.806)
Fe (0.632, 0.935, 0.304)
Fe (0.632, 0.940, 0.810)
Fe (0.638, 0.682, 0.066)
O (0.388, 0.537, 0.699)
O (0.408, 0.012, 0.191)
O (0.842, 0.065, 0.687)
F (0.368, 0.075, 0.692)
F (0.376, 0.301, 0.935)
F (0.399, 0.550, 0.194)
F (0.400, 0.793, 0.429)
F (0.400, 0.812, 0.931)
F (0.409, 0.297, 0.436)
F (0.851, 0.342, 0.935)
F (0.877, 0.549, 0.193)
F (0.878, 0.065, 0.194)
F (0.880, 0.561, 0.696)
F (0.881, 0.300, 0.428)
F (0.881, 0.796, 0.933)
F (0.884, 0.829, 0.420)